Simulated PXRD pattern of KSmMo2O8 for a wavelength of 1.5418 Å, from the GGA+U geometry in Alexandria.

Lattice parameters (Å, degrees): 5.2023 18.8158 8.2240 90.00 90.00 90.00
Fractional positions:
K 0.0000 0.2266 0.2500
K 0.0000 0.7734 0.7500
K 0.5000 0.2734 0.7500
K 0.5000 0.7266 0.2500
Sm 0.0000 0.0049 0.7500
Sm 0.0000 0.9951 0.2500
Sm 0.5000 0.4951 0.2500
Sm 0.5000 0.5049 0.7500
Mo 0.0201 0.3979 0.5121
Mo 0.0201 0.6021 0.0121
Mo 0.4799 0.1021 0.0121
Mo 0.4799 0.8979 0.5121
Mo 0.5201 0.1021 0.4879
Mo 0.5201 0.8979 0.9879
Mo 0.9799 0.3979 0.9879
Mo 0.9799 0.6021 0.4879
O 0.1041 0.3112 0.9823
O 0.1041 0.6888 0.4823
O 0.2271 0.4016 0.3376
O 0.2271 0.5984 0.8376
O 0.2386 0.4064 0.6836
O 0.2386 0.5936 0.1836
O 0.2505 0.0369 0.5023
O 0.2495 0.4631 0.0023
O 0.2495 0.5369 0.5023
O 0.2505 0.9631 0.0023
O 0.2614 0.0936 0.1836
O 0.2614 0.9064 0.6836
O 0.2729 0.0984 0.8376
O 0.2729 0.9016 0.3376
O 0.3959 0.1888 0.4823
O 0.3959 0.8112 0.9823
O 0.6041 0.1888 0.0177
O 0.6041 0.8112 0.5177
O 0.7271 0.0984 0.6624
O 0.7271 0.9016 0.1624
O 0.7386 0.0936 0.3164
O 0.7386 0.9064 0.8164
O 0.7495 0.0369 0.9977
O 0.7505 0.4631 0.4977
O 0.7505 0.5369 0.9977
O 0.7495 0.9631 0.4977
O 0.7614 0.4064 0.8164
O 0.7614 0.5936 0.3164
O 0.7729 0.4016 0.1624
O 0.7729 0.5984 0.6624
O 0.8959 0.3112 0.5177
O 0.8959 0.6888 0.0177

Main lines, most intense first (10° ≤ 2θ ≤ 90°):
(1 1 2), 2θ = 28.06°, I 100
(1 5 0), 2θ = 29.29°, I 55
(1 3 0), 2θ = 22.20°, I 46
(0 4 2), 2θ = 28.84°, I 40
(2 4 2), 2θ = 45.55°, I 38
(1 9 2), 2θ = 52.13°, I 20
(1 5 4), 2θ = 53.77°, I 19
(2 6 2), 2θ = 50.72°, I 18
(0 0 4), 2θ = 44.04°, I 12
(2 0 0), 2θ = 34.48°, I 12
(3 1 2), 2θ = 57.92°, I 12
(0 6 2), 2θ = 36.02°, I 11